Computed X-ray diffraction stick pattern
Compound: Li2HN
Radiation: a wavelength of 1.5418 Å
Structure: the PBE geometry in the Materials Project

Principal peaks in the range 2θ = 10–80°, in order of rising 2θ:
| 2θ/deg | intensity |
| --- | --- |
| 21.33 | 12.9 |
| 22.69 | 15.9 |
| 29.13 | 100.0 |
| 30.78 | 68.9 |
| 33.80 | 13.6 |
| 46.33 | 10.6 |
| 46.76 | 13.0 |
| 50.66 | 70.7 |
| 56.65 | 16.7 |
| 57.48 | 10.3 |
| 59.55 | 13.4 |
| 62.19 | 8.7 |

Atomic structure:
a b c (Å): 7.839 3.600 4.917
angles (deg): 90.00 90.00 90.00
Atoms (fractional coordinates):
Li (0.102, 0.250, 0.036)
Li (0.202, 0.250, 0.590)
Li (0.298, 0.750, 0.090)
Li (0.398, 0.750, 0.536)
Li (0.602, 0.250, 0.464)
Li (0.702, 0.250, 0.910)
Li (0.798, 0.750, 0.410)
Li (0.898, 0.750, 0.964)
H (0.078, 0.750, 0.607)
H (0.422, 0.250, 0.107)
H (0.578, 0.750, 0.893)
H (0.922, 0.250, 0.393)
N (0.148, 0.750, 0.786)
N (0.352, 0.250, 0.286)
N (0.648, 0.750, 0.714)
N (0.852, 0.250, 0.214)



Computed X-ray diffraction stick pattern
Compound: LiH2N
Radiation: a wavelength of 1.5418 Å
Structure: the PBE geometry in the Materials Project

Principal peaks in the range 2θ = 10–80°, in order of rising 2θ:
| 2θ/deg | intensity |
| --- | --- |
| 23.25 | 8.7 |
| 33.83 | 10.6 |
| 34.63 | 100.0 |
| 38.24 | 7.8 |
| 41.45 | 18.7 |
| 45.23 | 12.4 |
| 48.56 | 5.8 |
| 51.96 | 19.4 |
| 54.60 | 11.3 |
| 61.03 | 7.6 |
| 62.57 | 6.7 |
| 66.82 | 7.5 |

Atomic structure:
a b c (Å): 3.826 5.300 4.707
angles (deg): 90.00 90.00 90.00
Atoms (fractional coordinates):
Li (0.072, 0.250, 0.000)
Li (0.072, 0.250, 0.500)
Li (0.928, 0.750, 0.000)
Li (0.928, 0.750, 0.500)
H (0.364, 0.720, 0.250)
H (0.364, 0.780, 0.750)
H (0.500, 0.000, 0.000)
H (0.500, 0.000, 0.500)
H (0.500, 0.500, 0.000)
H (0.500, 0.500, 0.500)
H (0.636, 0.220, 0.250)
H (0.636, 0.280, 0.750)
N (0.316, 0.528, 0.250)
N (0.316, 0.972, 0.750)
N (0.684, 0.028, 0.250)
N (0.684, 0.472, 0.750)



Computed X-ray diffraction stick pattern
Compound: Li2HN
Radiation: a wavelength of 1.5418 Å
Structure: the PBE geometry in the Materials Project

Principal peaks in the range 2θ = 10–80°, in order of rising 2θ:
| 2θ/deg | intensity |
| --- | --- |
| 15.19 | 21.1 |
| 30.67 | 100.0 |
| 35.27 | 3.8 |
| 35.70 | 6.3 |
| 46.90 | 3.1 |
| 51.06 | 55.8 |
| 51.33 | 13.2 |
| 51.44 | 14.4 |
| 60.46 | 5.2 |
| 61.04 | 9.4 |
| 74.59 | 2.9 |
| 75.63 | 5.8 |

Atomic structure:
a b c (Å): 7.155 7.155 7.155
angles (deg): 120.33 89.32 120.46
Atoms (fractional coordinates):
Li (0.113, 0.983, 0.630)
Li (0.116, 0.006, 0.121)
Li (0.116, 0.494, 0.610)
Li (0.124, 0.480, 0.144)
Li (0.236, 0.730, 0.006)
Li (0.336, 0.980, 0.856)
Li (0.354, 0.483, 0.370)
Li (0.355, 0.459, 0.876)
Li (0.355, 0.978, 0.395)
Li (0.583, 0.478, 0.124)
Li (0.583, 0.959, 0.605)
Li (0.619, 0.986, 0.132)
Li (0.724, 0.230, 0.994)
Li (0.854, 0.486, 0.868)
Li (0.884, 0.506, 0.390)
Li (0.884, 0.994, 0.879)
H (0.538, 0.324, 0.386)
H (0.538, 0.652, 0.714)
H (0.548, 0.344, 0.704)
H (0.640, 0.844, 0.296)
H (0.823, 0.624, 0.699)
H (0.925, 0.124, 0.301)
H (0.938, 0.152, 0.614)
H (0.938, 0.824, 0.286)
N (0.000, 0.743, 0.757)
N (0.463, 0.724, 0.239)
N (0.477, 0.205, 0.208)
N (0.477, 0.768, 0.771)
N (0.485, 0.224, 0.761)
N (0.986, 0.243, 0.243)
N (0.997, 0.268, 0.792)
N (0.997, 0.705, 0.229)



Computed X-ray diffraction stick pattern
Compound: LiH2N
Radiation: a wavelength of 1.5418 Å
Structure: the PBE geometry in the Materials Project

Principal peaks in the range 2θ = 10–80°, in order of rising 2θ:
| 2θ/deg | intensity |
| --- | --- |
| 21.59 | 2.0 |
| 32.29 | 100.0 |
| 33.80 | 18.6 |
| 40.46 | 7.5 |
| 43.99 | 1.8 |
| 48.55 | 18.7 |
| 53.71 | 3.6 |
| 56.60 | 21.9 |
| 59.51 | 16.4 |
| 67.57 | 1.2 |
| 71.09 | 4.8 |
| 73.48 | 3.1 |

Atomic structure:
a b c (Å): 3.751 3.751 4.117
angles (deg): 90.00 90.00 90.00
Atoms (fractional coordinates):
Li (0.000, 0.000, 0.000)
Li (0.500, 0.500, 0.000)
H (0.147, 0.353, 0.409)
H (0.353, 0.853, 0.591)
H (0.647, 0.147, 0.591)
H (0.853, 0.647, 0.409)
N (0.000, 0.500, 0.246)
N (0.500, 0.000, 0.754)



Computed X-ray diffraction stick pattern
Compound: LiH2N
Radiation: a wavelength of 1.5418 Å
Structure: the PBE geometry in the Materials Project

Principal peaks in the range 2θ = 10–80°, in order of rising 2θ:
| 2θ/deg | intensity |
| --- | --- |
| 24.91 | 26.9 |
| 29.14 | 28.4 |
| 29.73 | 41.6 |
| 29.94 | 100.0 |
| 33.03 | 19.4 |
| 37.09 | 36.1 |
| 38.52 | 20.6 |
| 52.00 | 18.4 |
| 53.39 | 14.5 |
| 54.04 | 16.9 |
| 58.40 | 10.4 |
| 62.92 | 8.8 |

Atomic structure:
a b c (Å): 3.986 3.986 5.638
angles (deg): 96.94 96.94 127.49
Atoms (fractional coordinates):
Li (0.189, 0.811, 0.500)
Li (0.811, 0.189, 0.000)
H (0.532, 0.564, 0.179)
H (0.564, 0.532, 0.679)
H (0.661, 0.996, 0.348)
H (0.996, 0.661, 0.848)
N (0.428, 0.745, 0.197)
N (0.745, 0.428, 0.697)



Computed X-ray diffraction stick pattern
Compound: LiH2N
Radiation: a wavelength of 1.5418 Å
Structure: the PBE geometry in the Materials Project

Principal peaks in the range 2θ = 10–80°, in order of rising 2θ:
| 2θ/deg | intensity |
| --- | --- |
| 21.57 | 1.5 |
| 32.23 | 100.0 |
| 33.71 | 18.9 |
| 40.37 | 8.1 |
| 43.96 | 1.7 |
| 48.41 | 18.9 |
| 53.58 | 3.4 |
| 56.52 | 21.9 |
| 59.36 | 16.5 |
| 67.44 | 1.2 |
| 70.88 | 4.9 |
| 73.41 | 3.1 |

Atomic structure:
a b c (Å): 3.760 3.760 8.239
angles (deg): 90.00 90.00 90.00
Atoms (fractional coordinates):
Li (0.250, 0.750, 0.000)
Li (0.250, 0.750, 0.500)
Li (0.750, 0.250, 0.000)
Li (0.750, 0.250, 0.500)
H (0.103, 0.103, 0.207)
H (0.103, 0.397, 0.707)
H (0.397, 0.103, 0.707)
H (0.397, 0.397, 0.207)
H (0.603, 0.603, 0.793)
H (0.603, 0.897, 0.293)
H (0.897, 0.603, 0.293)
H (0.897, 0.897, 0.793)
N (0.250, 0.250, 0.125)
N (0.250, 0.250, 0.625)
N (0.750, 0.750, 0.375)
N (0.750, 0.750, 0.875)



Computed X-ray diffraction stick pattern
Compound: Li2HN
Radiation: a wavelength of 1.5418 Å
Structure: the PBE geometry in the Materials Project

Principal peaks in the range 2θ = 10–80°, in order of rising 2θ:
| 2θ/deg | intensity |
| --- | --- |
| 30.12 | 79.3 |
| 30.70 | 100.0 |
| 33.09 | 6.0 |
| 36.30 | 8.0 |
| 49.93 | 82.5 |
| 51.54 | 23.6 |
| 53.01 | 13.3 |
| 57.27 | 21.0 |
| 61.19 | 16.1 |
| 62.18 | 8.2 |
| 69.43 | 5.4 |
| 77.07 | 7.2 |

Atomic structure:
a b c (Å): 3.669 3.669 3.669
angles (deg): 122.19 84.88 123.81
Atoms (fractional coordinates):
Li (0.216, 0.000, 0.216)
Li (0.784, 0.000, 0.784)
H (0.215, 0.715, 0.500)
N (0.916, 0.416, 0.500)



Computed X-ray diffraction stick pattern
Compound: Li2HN
Radiation: a wavelength of 1.5418 Å
Structure: the PBE geometry in the Materials Project

Principal peaks in the range 2θ = 10–80°, in order of rising 2θ:
| 2θ/deg | intensity |
| --- | --- |
| 29.46 | 46.1 |
| 30.28 | 100.0 |
| 34.87 | 12.1 |
| 49.60 | 37.5 |
| 50.67 | 58.3 |
| 58.75 | 6.9 |
| 59.70 | 22.6 |
| 60.18 | 6.5 |
| 61.12 | 3.5 |
| 62.98 | 1.1 |
| 73.63 | 9.2 |
| 79.97 | 3.1 |

Atomic structure:
a b c (Å): 3.677 3.677 3.677
angles (deg): 58.67 58.67 58.67
Atoms (fractional coordinates):
Li (0.000, 0.000, 0.000)
Li (0.465, 0.465, 0.465)
H (0.806, 0.806, 0.806)
N (0.693, 0.693, 0.693)